Calculated X-ray diffraction stick pattern of MgTi6N4O6 for λ = 1.5418 Å (Cu Kα), from a crystal structure in the Materials Project, relaxed with PBE.
Lines closer than 0.1° are merged.

Cell and atoms:
Lattice parameters (Å, degrees): 9.773 4.015 9.885 90.00 92.90 90.00
Space group C2/m (No. 12)
Asymmetric unit:
1 Mg 0.000 0.000 0.000 [2 per cell]
2 Ti 0.148 0.500 0.545 [4 per cell]
3 Ti 0.174 0.500 0.922 [4 per cell]
4 Ti 0.194 0.500 0.249 [4 per cell]
5 N 0.185 0.000 0.920 [4 per cell]
6 N 0.192 0.000 0.576 [4 per cell]
7 O 0.038 0.500 0.114 [4 per cell]
8 O 0.040 0.500 0.381 [4 per cell]
9 O 0.225 0.000 0.249 [4 per cell]

Largest 10 diffraction maxima, low angle first, 10 to 80 degrees two-theta:
4.936 Å, 2θ = 18.0°, I = 16
4.880 Å, 2θ = 18.2°, I = 68
3.713 Å, 2θ = 24.0°, I = 72
2.795 Å, 2θ = 32.0°, I = 26
2.667 Å, 2θ = 33.6°, I = 49
2.528 Å, 2θ = 35.5°, I = 35
2.487 Å, 2θ = 36.1°, I = 39
2.008 Å, 2θ = 45.1°, I = 100
1.604 Å, 2θ = 57.5°, I = 18
1.420 Å, 2θ = 65.8°, I = 24